LiLa2CoO5: calculated PXRD pattern (Cu Kα), based on a cell relaxed with GGA+U.
Kinematic intensities with the Lorentz-polarization factor, no thermal factor.

Cell and atoms:
```
data_LiLa2CoO5
_cell_length_a 6.873
_cell_length_b 6.873
_cell_length_c 5.628
_cell_angle_alpha 90.00
_cell_angle_beta 90.00
_cell_angle_gamma 90.00
_symmetry_space_group_name_H-M 'P 4/m b m'
_symmetry_Int_Tables_number 127
_symmetry_space_group_name_Hall '-P 4 2ab'
loop_
_atom_site_label
_atom_site_type_symbol
_atom_site_fract_x
_atom_site_fract_y
_atom_site_fract_z
Li1 Li 0.000 0.000 0.000
La1 La 0.180 0.320 0.500
Co1 Co 0.000 0.500 0.000
O1 O 0.000 0.000 0.500
O2 O 0.131 0.631 0.233
```

Peak list (10 most intense, 2θ from 10° to 90°, in order of rising 2θ)
(hkl)  Position (°2θ)  intensity
0 0 1  15.75  93
1 1 0  18.25  44
2 1 0  29.05  36
2 0 1  30.48  83
0 0 2  31.80  31
2 1 1  33.21  100
2 1 2  43.61  68
3 1 1  44.70  37
4 1 1  57.68  32
4 1 2  65.03  23